For K3Ce3PdO8, a cell relaxed with GGA-PBE gives the calculated XRD peak list in this record (Cu Kα X-rays).

Atomic structure:
```
data_K3Ce3PdO8
_chemical_formula_sum 'K6 Ce6 Pd2 O16'
_cell_length_a 12.036
_cell_length_b 7.240
_cell_length_c 7.433
_cell_angle_alpha 90.00
_cell_angle_beta 123.51
_cell_angle_gamma 90.00
_symmetry_space_group_name_H-M 'C 1 2/m 1'
_symmetry_Int_Tables_number 12
loop_
_symmetry_equiv_pos_as_xyz
'x,y,z'
'-x,-y,-z'
'-x,y,-z'
'x,-y,z'
'x+1/2,y+1/2,z'
'-x+1/2,-y+1/2,-z'
'-x+1/2,y+1/2,-z'
'x+1/2,-y+1/2,z'
loop_
_atom_site_label
_atom_site_type_symbol
_atom_site_fract_x
_atom_site_fract_y
_atom_site_fract_z
_atom_site_occupancy
K1 K 0.000 0.000 0.000 1
K2 K 0.250 0.250 0.000 1
Ce1 Ce 0.000 0.500 0.500 1
Ce2 Ce 0.250 0.250 0.500 1
Pd1 Pd 0.000 0.000 0.500 1
O1 O 0.032 0.286 0.313 1
O2 O 0.218 0.000 0.660 1
O3 O 0.232 0.500 0.693 1
```

Peak list (8 most intense, 10° ≤ 2θ ≤ 90°, sorted by position)
2θ 14.3, intensity 100, (0 0 1)
2θ 28.8, intensity 28, (0 0 2)
2θ 29.2, intensity 27, (2 2 -1)
2θ 30.4, intensity 43, (2 2 0)
2θ 31.1, intensity 19, (4 0 -2)
2θ 34.6, intensity 63, (2 2 -2)
2θ 35.8, intensity 28, (4 0 0)
2θ 49.2, intensity 29, (4 0 -4)